Structure and theoretical powder XRD pattern of MgCu3Mo4O12 (the PBE+U geometry in the Materials Project; λ = 1.5418 Å (Cu Kα)).
Lines closer than 0.1° are merged.

Cell and atoms:
```
data_MgCu3Mo4O12
_space_group_name_H-M_alt 'P 1'
_space_group_IT_number 1
_cell_length_a 6.5644
_cell_length_b 6.6118
_cell_length_c 6.9251
_cell_angle_alpha 108.15
_cell_angle_beta 110.38
_cell_angle_gamma 107.84
loop_
_space_group_symop_operation_xyz
'x,y,z'
loop_
_atom_site_label
_atom_site_type_symbol
_atom_site_fract_x
_atom_site_fract_y
_atom_site_fract_z
Mg1 Mg 0.0000 0.0000 0.0000
Cu1 Cu 0.3698 0.9606 0.3400
Cu2 Cu 0.3726 0.4585 0.8387
Cu3 Cu 0.7270 0.8888 0.6242
Mo1 Mo 0.3705 0.4556 0.3363
Mo2 Mo 0.3784 0.9606 0.8445
Mo3 Mo 0.8721 0.9587 0.3352
Mo4 Mo 0.8742 0.4583 0.8432
O1 O 0.0072 0.7800 0.1458
O2 O 0.0568 0.9565 0.6612
O3 O 0.0643 0.3378 0.0469
O4 O 0.1734 0.2654 0.4593
O5 O 0.1801 0.6316 0.8297
O6 O 0.3671 0.1336 0.1524
O7 O 0.3792 0.7859 0.5299
O8 O 0.5662 0.2877 0.8513
O9 O 0.5691 0.6470 0.2091
O10 O 0.6828 0.5854 0.6400
O11 O 0.6945 0.9702 0.0284
O12 O 0.7374 0.1416 0.5332
```

Main lines, in order of falling intensity (2θ from 10° to 90°):
32.20 deg, I = 100.0; 32.39 deg, I = 97.6; 33.68 deg, I = 80.2; 23.15 deg, I = 72.7; 32.71 deg, I = 67.5; 32.89 deg, I = 62.0; 31.19 deg, I = 54.7; 46.83 deg, I = 49.1; 59.18 deg, I = 45.8; 45.80 deg, I = 42.0